Diffraction record for Li2Ni3SnO8. The powder diffraction line list is computed, not measured: it uses a structure optimized by DFT (GGA+U) and Cu Kα (λ = 1.5418 Å).

Structure:
a = 5.905 Å, b = 6.060 Å, c = 8.250 Å
α = 92.10°, β = 90.29°, γ = 92.14°
Element x y z (fractional)
1 Li 0.245 0.490 0.136
2 Li 0.254 0.008 0.371
3 Li 0.746 0.992 0.629
4 Li 0.755 0.510 0.864
5 Ni 0.000 0.000 0.000
6 Ni 0.000 0.500 0.500
7 Ni 0.241 0.754 0.746
8 Ni 0.500 0.000 0.000
9 Ni 0.500 0.500 0.500
10 Ni 0.759 0.246 0.254
11 Sn 0.245 0.252 0.750
12 Sn 0.755 0.748 0.250
13 O 0.002 0.002 0.772
14 O 0.019 0.511 0.729
15 O 0.233 0.788 0.981
16 O 0.234 0.292 0.498
17 O 0.235 0.724 0.516
18 O 0.240 0.220 0.000
19 O 0.468 0.993 0.757
20 O 0.486 0.504 0.731
21 O 0.514 0.496 0.269
22 O 0.532 0.007 0.243
23 O 0.760 0.780 0.000
24 O 0.765 0.276 0.484
25 O 0.766 0.708 0.502
26 O 0.767 0.212 0.019
27 O 0.981 0.489 0.271
28 O 0.998 0.998 0.228

Peak list (12 most intense, 5 to 70 degrees two-theta, in order of rising 2θ)
- 4.967 Å, 17.86 deg, rel. 15, (0 1 -1)
- 4.804 Å, 18.47 deg, rel. 100, (0 1 1)
- 4.784 Å, 18.55 deg, rel. 49, (1 0 1)
- 2.570 Å, 34.91 deg, rel. 19, (-1 2 1)
- 2.551 Å, 35.18 deg, rel. 11, (1 2 -1)
- 2.498 Å, 35.95 deg, rel. 18, (1 2 1)
- 2.484 Å, 36.16 deg, rel. 19, (0 2 -2)
- 2.395 Å, 37.56 deg, rel. 17, (0 2 2)
- 2.153 Å, 41.96 deg, rel. 29, (2 -2 0)
- 2.074 Å, 43.65 deg, rel. 26, (2 2 0)
- 2.061 Å, 43.93 deg, rel. 26, (0 0 4)
- 1.474 Å, 63.06 deg, rel. 17, (-2 2 4)